# 1
# Tb2Mo3O12
Simulated PXRD pattern, Cu Kα (weighted mean of Kα1 and Kα2). Input: DFT lattice parameters and positions (PBE+U).

Principal peaks in the range 10 to 90 degrees two-theta, low angle first:
- hkl 0 0 2, 2θ 16.5, I = 67
- hkl 1 1 1, 2θ 18.7, I = 87
- hkl 1 1 2, 2θ 23.6, I = 71
- hkl 2 0 0, 2θ 23.8, I = 70
- hkl 2 0 1, 2θ 25.2, I = 76
- hkl 2 1 0, 2θ 26.6, I = 100
- hkl 2 0 2, 2θ 29.1, I = 94
- hkl 1 1 3, 2θ 30.1, I = 74
- hkl 2 1 2, 2θ 31.5, I = 55
- hkl 1 1 5, 2θ 45.5, I = 52

Crystal structure
Unit cell a=7.4843 b=7.4843 c=10.7537 alpha=90.00 beta=90.00 gamma=90.00
Space group P-42_1m (No. 113)
Symmetry-distinct sites (fractional):
Tb 0.1878 0.3122 0.2381
Mo 0.0000 0.0000 0.5000
Mo 0.2068 0.2932 0.8561
O 0.0057 0.7737 0.7973
O 0.0459 0.1888 0.4029
O 0.1264 0.6264 0.1908
O 0.1944 0.3056 0.0210

=====

# 2
# Li2VC2O6
Simulated PXRD pattern, Cu Kα (weighted mean of Kα1 and Kα2). Input: DFT lattice parameters and positions (PBE+U).

Principal peaks in the range 10 to 90 degrees two-theta, low angle first:
- hkl 1 1 0, 2θ 16.2, I = 39
- hkl 0 0 2, 2θ 23.6, I = 100
- hkl 2 2 0, 2θ 32.7, I = 12
- hkl 1 3 1, 2θ 34.5, I = 43
- hkl 1 1 -2, 2θ 34.6, I = 21
- hkl 3 1 3, 2θ 40.3, I = 36
- hkl -1 1 3, 2θ 40.4, I = 18
- hkl 3 3 2, 2θ 44.1, I = 13
- hkl 4 2 3, 2θ 49.9, I = 12
- hkl 3 1 5, 2θ 57.8, I = 13

Crystal structure
Unit cell a=7.8745 b=7.8782 c=8.4805 alpha=68.81 beta=68.82 gamma=76.90
Space group P-1 (No. 2)
Symmetry-distinct sites (fractional):
Li 0.0479 0.3819 0.2016
Li 0.1576 0.2646 0.7713
Li 0.3192 0.2566 0.3996
Li 0.4269 0.9255 0.2154
V 0.0000 0.0000 0.5000
V 0.2558 0.7459 0.9958
V 0.5000 0.5000 0.5000
C 0.1193 0.1092 0.0896
C 0.1299 0.6293 0.4134
C 0.3641 0.8706 0.5851
C 0.3806 0.3789 0.9111
O 0.0085 0.7536 0.9277
O 0.0477 0.7079 0.5365
O 0.0791 0.6802 0.2718
O 0.1759 0.0574 0.2276
O 0.1965 0.0366 0.9625
O 0.2378 0.0075 0.5684
O 0.2597 0.4964 0.4340
O 0.3022 0.4511 0.0392
O 0.3197 0.4298 0.7752
O 0.4227 0.8113 0.7222
O 0.4431 0.7951 0.4586
O 0.4837 0.7499 0.0791

=====

# 3
# NbWNO6
Simulated PXRD pattern, Cu Kα (weighted mean of Kα1 and Kα2). Input: DFT lattice parameters and positions (PBE+U).

Principal peaks in the range 10 to 90 degrees two-theta, low angle first:
- hkl 2 0 -1, 2θ 14.4, I = 100
- hkl 1 1 0, 2θ 14.6, I = 34
- hkl 3 1 -2, 2θ 27.7, I = 11
- hkl 4 0 -1, 2θ 28.0, I = 18
- hkl 0 2 1, 2θ 28.1, I = 45
- hkl 0 0 2, 2θ 29.0, I = 36
- hkl 2 2 0, 2θ 29.4, I = 33
- hkl 2 2 -2, 2θ 33.8, I = 13
- hkl 6 2 -2, 2θ 48.7, I = 21
- hkl 0 4 2, 2θ 58.1, I = 15

Crystal structure
Unit cell a=12.9890 b=7.4155 c=7.6032 alpha=90.00 beta=125.71 gamma=90.00
Space group Cm (No. 8)
Symmetry-distinct sites (fractional):
Nb 0.0000 0.0000 0.0000
Nb 0.0035 0.0000 0.5135
W 0.2553 0.2497 0.0132
N 0.1204 0.5000 0.3569
N 0.3297 0.0000 0.5059
O 0.0673 0.0000 0.3247
O 0.1315 0.1870 0.0655
O 0.1316 0.1869 0.7123
O 0.2007 0.5000 0.9584
O 0.3112 0.0000 0.0680
O 0.3792 0.3137 0.3139
O 0.3791 0.3138 0.9592
O 0.4453 0.5000 0.7024

=====

# 4
# TiZnNiP2O9
Simulated PXRD pattern, Cu Kα (weighted mean of Kα1 and Kα2). Input: DFT lattice parameters and positions (PBE+U).

Principal peaks in the range 10 to 90 degrees two-theta, low angle first:
- hkl 1 0 1, 2θ 13.5, I = 29
- hkl 1 0 2, 2θ 25.0, I = 100
- hkl 4 0 1, 2θ 27.7, I = 32
- hkl 0 2 0, 2θ 28.5, I = 27
- hkl 2 2 0, 2θ 31.1, I = 34
- hkl 1 2 1, 2θ 31.6, I = 29
- hkl 5 0 1, 2θ 33.5, I = 43
- hkl 3 2 1, 2θ 36.4, I = 25
- hkl 4 2 1, 2θ 40.1, I = 23
- hkl 5 2 3, 2θ 57.5, I = 25

Crystal structure
Unit cell a=14.3600 b=6.2720 c=7.3433 alpha=90.00 beta=90.00 gamma=90.00
Space group Pnma (No. 62)
Symmetry-distinct sites (fractional):
Ti 0.1149 0.2500 0.1524
Zn 0.2167 0.2500 0.6160
Ni 0.0000 0.0000 0.5000
P 0.0696 0.7500 0.1438
P 0.1985 0.7500 0.6100
O 0.0069 0.2500 0.9997
O 0.0246 0.7500 0.3330
O 0.0525 0.2500 0.3564
O 0.1374 0.5597 0.1211
O 0.1405 0.5381 0.6108
O 0.2304 0.2500 0.9499
O 0.2384 0.2500 0.2863

=====

# 5
# Ag2MoI4O14
Simulated PXRD pattern, Cu Kα (weighted mean of Kα1 and Kα2). Input: DFT lattice parameters and positions (PBE+U).

Principal peaks in the range 10 to 90 degrees two-theta, low angle first:
- hkl 1 1 1, 2θ 17.8, I = 16
- hkl 3 1 -2, 2θ 26.8, I = 96
- hkl 1 1 4, 2θ 27.3, I = 100
- hkl 4 0 -2, 2θ 28.5, I = 11
- hkl 0 2 0, 2θ 30.7, I = 21
- hkl 2 0 -6, 2θ 31.6, I = 50
- hkl 2 2 -6, 2θ 44.7, I = 39
- hkl 1 3 4, 2θ 52.5, I = 18
- hkl 5 1 -8, 2θ 53.1, I = 12
- hkl 1 1 -10, 2θ 54.0, I = 14

Crystal structure
Unit cell a=12.7847 b=5.8255 c=17.7606 alpha=90.00 beta=99.26 gamma=90.00
Space group C2/c (No. 15)
Symmetry-distinct sites (fractional):
Ag 0.1764 0.0056 0.4601
Mo 0.0000 0.0687 0.7500
I 0.0408 0.3979 0.5878
I 0.2119 0.4898 0.8257
O 0.0148 0.1382 0.8608
O 0.0485 0.2989 0.9996
O 0.1096 0.1167 0.2569
O 0.1122 0.3619 0.7477
O 0.1245 0.4094 0.3917
O 0.1612 0.2442 0.5698
O 0.2359 0.2687 0.1246

=====

# 6
# K2Li2NiO4
Simulated PXRD pattern, Cu Kα (weighted mean of Kα1 and Kα2). Input: DFT lattice parameters and positions (PBE+U).

Principal peaks in the range 10 to 90 degrees two-theta, low angle first:
- hkl 0 0 2, 2θ 17.3, I = 51
- hkl 0 2 0, 2θ 19.9, I = 89
- hkl -1 1 1, 2θ 21.6, I = 74
- hkl 1 1 -1, 2θ 22.0, I = 58
- hkl 1 0 3, 2θ 28.7, I = 47
- hkl 0 3 1, 2θ 30.8, I = 50
- hkl 2 1 0, 2θ 34.0, I = 74
- hkl 1 2 3, 2θ 34.3, I = 74
- hkl 2 0 2, 2θ 34.7, I = 100
- hkl 0 0 4, 2θ 35.0, I = 87

Crystal structure
Unit cell a=5.5704 b=8.9379 c=10.3833 alpha=86.78 beta=81.74 gamma=89.33
Space group P1 (No. 1)
Symmetry-distinct sites (fractional):
K 0.0000 0.0000 0.0000
K 0.0165 0.2246 0.4882
K 0.2081 0.4947 0.2371
K 0.2352 0.7842 0.7388
K 0.5058 0.4662 0.5451
K 0.5292 0.3023 0.9595
K 0.6513 0.0420 0.7154
K 0.7277 0.7055 0.2449
Li 0.0454 0.0025 0.2889
Li 0.1312 0.5199 0.9412
Li 0.2705 0.7563 0.0606
Li 0.4575 0.9801 0.1552
Li 0.6291 0.9760 0.4219
Li 0.7707 0.7598 0.5578
Li 0.9191 0.5367 0.6763
Li 0.9470 0.2457 0.1585
Ni 0.0552 0.2936 0.7999
Ni 0.1867 0.7811 0.4229
Ni 0.5314 0.2114 0.2931
Ni 0.6813 0.7180 0.9235
O 0.0185 0.6075 0.4834
O 0.0313 0.3043 0.9764
O 0.1407 0.1099 0.7651
O 0.1968 0.4741 0.7596
O 0.2303 0.8153 0.2396
O 0.2557 0.1777 0.2216
O 0.4561 0.5852 0.0001
O 0.4734 0.7857 0.4838
O 0.5040 0.1809 0.4638
O 0.5277 0.8974 0.9741
O 0.6996 0.3814 0.2609
O 0.7362 0.0541 0.2285
O 0.7475 0.7215 0.7471
O 0.8055 0.3283 0.7099
O 0.9556 0.9291 0.4718
O 0.9662 0.7038 0.9926

=====

# 7
# KFeC6N3O3
Simulated PXRD pattern, Cu Kα (weighted mean of Kα1 and Kα2). Input: DFT lattice parameters and positions (PBE+U).

Principal peaks in the range 10 to 90 degrees two-theta, low angle first:
- hkl 1 0 1, 2θ 14.4, I = 58
- hkl 1 0 4, 2θ 17.1, I = 78
- hkl 0 1 5, 2θ 18.5, I = 100
- hkl 1 0 7, 2θ 21.9, I = 30
- hkl 2 -1 6, 2θ 28.6, I = 88
- hkl 2 0 5, 2θ 31.1, I = 17
- hkl 2 -1 9, 2θ 32.9, I = 40
- hkl 2 -1 12, 2θ 38.2, I = 49
- hkl 3 0 0, 2θ 43.5, I = 36
- hkl 4 -2 12, 2θ 59.3, I = 13

Crystal structure
Unit cell a=7.2015 b=7.2015 c=37.3934 alpha=90.00 beta=90.00 gamma=120.00
Space group R-3 (No. 148, hexagonal axes)
Symmetry-distinct sites (fractional):
K 0.0000 0.0000 0.1670
Fe 0.0000 0.0000 0.4054
C 0.0018 0.7862 0.5632
C 0.0052 0.7829 0.3810
N 0.0019 0.6565 0.5443
O 0.0106 0.6433 0.3670

=====

# 8
# MgFe6O10F2
Simulated PXRD pattern, Cu Kα (weighted mean of Kα1 and Kα2). Input: DFT lattice parameters and positions (PBE+U).

Principal peaks in the range 10 to 90 degrees two-theta, low angle first:
- hkl -1 1 1, 2θ 23.2, I = 100
- hkl 1 1 -1, 2θ 27.8, I = 89
- hkl 1 -2 2, 2θ 35.1, I = 22
- hkl 1 0 2, 2θ 35.3, I = 23
- hkl 2 -1 1, 2θ 35.5, I = 50
- hkl 0 1 -3, 2θ 36.0, I = 26
- hkl 3 -2 0, 2θ 49.3, I = 23
- hkl 3 0 0, 2θ 54.5, I = 19
- hkl 2 2 -2, 2θ 57.4, I = 18
- hkl 2 -2 4, 2θ 63.0, I = 18

Crystal structure
Unit cell a=5.7479 b=5.9497 c=7.5842 alpha=106.78 beta=97.97 gamma=113.36
Space group P1 (No. 1)
Symmetry-distinct sites (fractional):
Mg 0.0000 0.0000 0.0000
Fe 0.3003 0.5160 0.3517
Fe 0.3580 0.8973 0.7883
Fe 0.6217 0.0330 0.2120
Fe 0.6498 0.4608 0.6723
Fe 0.9903 0.4944 0.0208
Fe 0.9927 0.9317 0.4773
O 0.0104 0.1504 0.3115
O 0.0484 0.6539 0.3038
O 0.2474 0.3766 0.0838
O 0.2636 0.8490 0.0288
O 0.3590 0.1355 0.6509
O 0.4110 0.6161 0.6269
O 0.6152 0.8287 0.3694
O 0.7059 0.1223 0.9894
O 0.8878 0.3513 0.7407
O 0.9583 0.8064 0.7004
F 0.5742 0.3260 0.3791
F 0.7214 0.6486 0.9705